BaMg4Al2Ag: calculated XRD peak list (Cu Kα (λ = 1.5418 Å)), based on DFT lattice parameters and positions (GGA-PBE).

Cell and atoms:
```
8
Lattice="2.4060 1.3891 9.9169 -2.4060 1.3891 9.9169 0.0000 -2.7782 9.9169" Properties=species:S:1:pos:R:3 pbc="T T T"
Ba 0.0000 0.0000 0.0000
Mg 0.0000 0.0000 4.0164
Mg 0.0000 0.0000 12.1674
Mg 0.0000 0.0000 17.5832
Mg 0.0000 0.0000 25.7342
Al 0.0000 0.0000 7.2487
Al 0.0000 0.0000 22.5018
Ag 0.0000 0.0000 14.8753
```

Top 10 peaks for 2θ from 5° to 70°, sorted by position:
2θ (°), I_rel
17.9, 31
22.2, 96
24.5, 83
32.3, 100
37.1, 26
37.4, 96
50.2, 28
53.0, 37
64.2, 26
67.4, 23

---

Tm5Pb4O: calculated XRD peak list (Cu Kα (λ = 1.5418 Å)), based on DFT lattice parameters and positions (GGA-PBE).

Cell and atoms:
```
10
Lattice="-4.6403 4.6403 3.0862 4.6403 -4.6403 3.0862 4.6403 4.6403 -3.0862" Properties=species:S:1:pos:R:3 pbc="T T T"
Tm 0.0000 0.0000 0.0000
Tm 5.6562 2.4456 0.4135
Tm 2.4456 3.6244 0.4135
Tm 2.1947 1.0159 3.4997
Tm -1.0159 2.1947 3.4997
Pb 6.2570 -0.6231 0.4537
Pb 3.0235 0.6231 0.4537
Pb -0.6231 3.0235 0.4537
Pb 0.6231 6.2570 0.4537
O 0.0000 0.0000 3.9321
```

Top 10 peaks for 2θ from 5° to 70°, sorted by position:
2θ (°), I_rel
28.9, 79
30.5, 100
32.4, 76
37.9, 55
42.5, 78
43.6, 19
53.2, 20
62.7, 34
66.2, 23
68.7, 17

---

CeThInPb: calculated XRD peak list (Cu Kα (λ = 1.5418 Å)), based on DFT lattice parameters and positions (GGA-PBE).

Cell and atoms:
```
4
Lattice="4.6135 0.0000 0.0000 0.0000 4.9883 0.0000 0.0000 0.0000 5.0120" Properties=species:S:1:pos:R:3 pbc="T T T"
Ce 0.0000 0.0000 0.0000
Th 0.0000 2.4942 2.5060
In 2.3067 0.0000 2.5060
Pb 2.3067 2.4942 0.0000
```

Top 10 peaks for 2θ from 5° to 70°, sorted by position:
2θ (°), I_rel
31.9, 100
35.8, 18
36.0, 18
39.0, 15
51.7, 13
54.0, 11
61.9, 15
62.2, 15
66.3, 12
66.7, 12

---

KNpHgBr6: calculated XRD peak list (Cu Kα (λ = 1.5418 Å)), based on DFT lattice parameters and positions (GGA-PBE).

Cell and atoms:
```
9
Lattice="4.0395 -7.0257 0.0000 4.0395 7.0257 0.0000 -0.0113 0.0000 7.2313" Properties=species:S:1:pos:R:3 pbc="T T T"
K 0.0000 0.0000 0.0000
Np 4.0395 -2.3520 0.0000
Hg 4.0338 2.3292 3.6156
Br 1.8204 -2.3405 5.6668
Br 2.9321 -0.4490 1.5744
Br 5.1356 -0.4490 5.6569
Br 2.9532 -4.2671 1.5753
Br 5.1145 -4.2671 5.6560
Br 6.2473 -2.3405 1.5645
```

Top 10 peaks for 2θ from 5° to 70°, sorted by position:
2θ (°), I_rel
12.6, 48
17.6, 100
22.0, 14
25.2, 38
28.3, 25
33.2, 63
36.1, 29
36.2, 15
38.6, 18
51.2, 18

---

Q: What is the formula in the first record?
A: BaMg4Al2Ag